# 1
Structure and computed powder XRD pattern of Ti3CoNi2P6O24 (a structure optimized by DFT (GGA+U); Cu Kα (weighted mean of Kα1 and Kα2)).
Lines closer than 0.1° are merged.

Crystal structure
Cell: 8.499 8.499 8.499 Å, 61.05 61.05 61.05°
Fractional positions:
Ti  0.000  0.000  0.000
Ti  0.212  0.212  0.212
Ti  0.709  0.709  0.709
Co  0.499  0.499  0.499
Ni  0.357  0.357  0.357
Ni  0.856  0.856  0.856
P  0.105  0.809  0.401
P  0.307  0.603  0.900
P  0.401  0.105  0.809
P  0.603  0.900  0.307
P  0.809  0.401  0.105
P  0.900  0.307  0.603
O  0.029  0.867  0.241
O  0.100  0.297  0.445
O  0.111  0.767  0.922
O  0.170  0.974  0.353
O  0.241  0.029  0.867
O  0.257  0.616  0.408
O  0.297  0.445  0.100
O  0.340  0.538  0.749
O  0.353  0.170  0.974
O  0.408  0.257  0.616
O  0.445  0.100  0.297
O  0.473  0.670  0.852
O  0.538  0.749  0.340
O  0.597  0.942  0.802
O  0.616  0.408  0.257
O  0.670  0.852  0.473
O  0.749  0.340  0.538
O  0.767  0.922  0.111
O  0.802  0.597  0.942
O  0.852  0.473  0.670
O  0.867  0.241  0.029
O  0.922  0.111  0.767
O  0.942  0.802  0.597
O  0.974  0.353  0.170

Peak list (10 most intense, 2θ = 5–70°, low angle first)
2theta, I_rel
20.58, 79.8
24.34, 100.0
25.34, 19.3
33.29, 71.2
36.04, 36.2
47.72, 30.0
49.87, 26.8
56.40, 21.3
56.96, 14.8
63.06, 19.9

---

# 2
Structure and computed powder XRD pattern of ZnCoNiP2O9 (a structure optimized by DFT (GGA+U); Cu Kα (weighted mean of Kα1 and Kα2)).
Lines closer than 0.1° are merged.

Crystal structure
Cell: 14.065 6.238 7.280 Å, 90.00 90.00 90.00°
Fractional positions:
Zn  0.225  0.250  0.122
Zn  0.275  0.750  0.622
Zn  0.725  0.250  0.378
Zn  0.775  0.750  0.878
Co  0.118  0.250  0.651
Co  0.382  0.750  0.151
Co  0.618  0.250  0.849
Co  0.882  0.750  0.349
Ni  0.000  0.000  0.000
Ni  0.000  0.500  0.000
Ni  0.500  0.000  0.500
Ni  0.500  0.500  0.500
P  0.067  0.750  0.645
P  0.200  0.750  0.116
P  0.300  0.250  0.616
P  0.433  0.250  0.145
P  0.567  0.750  0.855
P  0.700  0.750  0.384
P  0.800  0.250  0.884
P  0.933  0.250  0.355
O  0.008  0.250  0.502
O  0.018  0.750  0.834
O  0.050  0.250  0.851
O  0.138  0.562  0.632
O  0.138  0.938  0.632
O  0.142  0.538  0.106
O  0.142  0.962  0.106
O  0.222  0.250  0.460
O  0.239  0.250  0.796
O  0.261  0.750  0.296
O  0.278  0.750  0.960
O  0.358  0.038  0.606
O  0.358  0.462  0.606
O  0.362  0.062  0.132
O  0.362  0.438  0.132
O  0.450  0.750  0.351
O  0.482  0.250  0.334
O  0.492  0.750  0.002
O  0.508  0.250  0.998
O  0.518  0.750  0.666
O  0.550  0.250  0.649
O  0.638  0.562  0.868
O  0.638  0.938  0.868
O  0.642  0.538  0.394
O  0.642  0.962  0.394
O  0.722  0.250  0.040
O  0.739  0.250  0.704
O  0.761  0.750  0.204
O  0.778  0.750  0.540
O  0.858  0.038  0.894
O  0.858  0.462  0.894
O  0.862  0.062  0.368
O  0.862  0.438  0.368
O  0.950  0.750  0.149
O  0.982  0.250  0.166
O  0.992  0.750  0.498

Peak list (10 most intense, 2θ = 5–70°, low angle first)
2theta, I_rel
17.53, 24.3
25.28, 100.0
28.18, 21.6
28.62, 27.0
31.38, 18.4
31.69, 16.7
31.86, 30.7
34.17, 27.0
38.55, 16.4
58.28, 23.7

---

# 3
Structure and computed powder XRD pattern of Sm2CoNiO6 (a structure optimized by DFT (GGA+U); Cu Kα (weighted mean of Kα1 and Kα2)).
Lines closer than 0.1° are merged.

Crystal structure
Cell: 5.346 5.611 9.325 Å, 90.00 124.48 90.00°
Fractional positions:
Sm  0.233  0.065  0.248
Sm  0.233  0.435  0.748
Sm  0.767  0.565  0.252
Sm  0.767  0.935  0.752
Co  0.000  0.000  0.500
Co  0.000  0.500  0.000
Ni  0.500  0.000  0.000
Ni  0.500  0.500  0.500
O  0.150  0.202  0.950
O  0.150  0.298  0.450
O  0.238  0.693  0.953
O  0.238  0.807  0.453
O  0.342  0.027  0.749
O  0.342  0.473  0.249
O  0.658  0.527  0.751
O  0.658  0.973  0.251
O  0.762  0.193  0.547
O  0.762  0.307  0.047
O  0.850  0.702  0.550
O  0.850  0.798  0.050

Peak list (10 most intense, 2θ = 5–70°, low angle first)
2theta, I_rel
22.98, 25.9
31.90, 38.0
32.73, 100.0
32.95, 98.2
33.52, 49.1
34.02, 25.4
46.95, 38.2
47.30, 29.7
53.24, 32.3
59.70, 26.0

---

# 4
Structure and computed powder XRD pattern of Co3Ni3Te2O16 (a structure optimized by DFT (GGA+U); Cu Kα (weighted mean of Kα1 and Kα2)).
Lines closer than 0.1° are merged.

Crystal structure
Cell: 5.835 5.835 9.134 Å, 92.57 92.57 58.72°
Fractional positions:
Co  0.000  0.000  0.000
Co  0.335  0.827  0.503
Co  0.827  0.335  0.503
Ni  0.002  0.505  0.007
Ni  0.337  0.337  0.509
Ni  0.505  0.002  0.007
Te  0.502  0.502  0.227
Te  0.837  0.837  0.727
O  0.002  0.495  0.627
O  0.004  0.004  0.618
O  0.144  0.703  0.872
O  0.155  0.155  0.416
O  0.161  0.161  0.916
O  0.205  0.671  0.373
O  0.329  0.329  0.128
O  0.332  0.833  0.124
O  0.495  0.002  0.627
O  0.521  0.521  0.609
O  0.651  0.651  0.385
O  0.671  0.205  0.373
O  0.693  0.693  0.877
O  0.703  0.144  0.872
O  0.833  0.332  0.124
O  0.846  0.846  0.100

Peak list (10 most intense, 2θ = 5–70°, low angle first)
2theta, I_rel
19.52, 63.9
20.08, 71.6
20.49, 100.0
26.15, 25.0
34.15, 24.5
35.83, 30.1
37.12, 53.6
37.35, 32.1
47.79, 27.3
63.90, 31.0

---

# 5
Structure and computed powder XRD pattern of Co3Ni2Te3O16 (a structure optimized by DFT (GGA+U); Cu Kα (weighted mean of Kα1 and Kα2)).
Lines closer than 0.1° are merged.

Crystal structure
Cell: 5.892 5.892 9.173 Å, 90.09 90.09 61.19°
Fractional positions:
Co  0.000  0.000  0.000
Co  0.338  0.830  0.499
Co  0.830  0.338  0.499
Ni  0.515  0.515  0.762
Ni  0.848  0.848  0.296
Te  0.334  0.334  0.499
Te  0.505  0.998  0.002
Te  0.998  0.505  0.002
O  0.006  0.492  0.388
O  0.009  0.009  0.403
O  0.128  0.694  0.119
O  0.164  0.164  0.115
O  0.164  0.164  0.605
O  0.214  0.652  0.624
O  0.330  0.848  0.891
O  0.336  0.336  0.888
O  0.492  0.006  0.388
O  0.506  0.506  0.391
O  0.648  0.648  0.611
O  0.652  0.214  0.624
O  0.680  0.680  0.126
O  0.694  0.128  0.119
O  0.839  0.839  0.883
O  0.848  0.330  0.891

Peak list (10 most intense, 2θ = 5–70°, low angle first)
2theta, I_rel
19.35, 100.0
19.73, 65.9
19.99, 39.3
26.20, 22.2
36.16, 77.7
36.77, 28.5
40.08, 24.7
46.01, 46.1
62.06, 28.5
63.12, 24.8

---

# 6
Structure and computed powder XRD pattern of Co3Ni2Te3O16 (a structure optimized by DFT (GGA+U); Cu Kα (weighted mean of Kα1 and Kα2)).
Lines closer than 0.1° are merged.

Crystal structure
Cell: 5.943 6.013 9.191 Å, 89.96 89.83 60.64°
Fractional positions:
Co  0.000  0.000  0.000
Co  0.004  0.497  0.996
Co  0.170  0.164  0.496
Ni  0.141  0.678  0.274
Ni  0.491  0.006  0.783
Te  0.500  0.500  0.999
Te  0.669  0.666  0.503
Te  0.670  0.163  0.501
O  0.147  0.174  0.904
O  0.181  0.640  0.882
O  0.300  0.376  0.118
O  0.311  0.814  0.118
O  0.368  0.836  0.621
O  0.370  0.290  0.621
O  0.507  0.495  0.388
O  0.526  0.984  0.378
O  0.674  0.173  0.895
O  0.683  0.650  0.891
O  0.809  0.848  0.627
O  0.820  0.340  0.615
O  0.825  0.354  0.110
O  0.885  0.808  0.099
O  0.979  0.015  0.390
O  0.980  0.507  0.393

Peak list (10 most intense, 2θ = 5–70°, low angle first)
2theta, I_rel
19.31, 100.0
19.50, 32.5
19.68, 62.6
25.92, 27.6
35.61, 50.3
36.00, 30.7
36.10, 31.3
45.55, 22.8
45.97, 33.3
61.75, 23.4

---

# 7
Structure and computed powder XRD pattern of V4CoNiO12 (a structure optimized by DFT (GGA+U); Cu Kα (weighted mean of Kα1 and Kα2)).
Lines closer than 0.1° are merged.

Crystal structure
Cell: 6.798 6.798 5.874 Å, 105.32 105.32 84.16°
Fractional positions:
V  0.203  0.203  0.494
V  0.385  0.022  0.996
V  0.797  0.797  0.506
V  0.978  0.615  0.004
Co  0.508  0.492  0.000
Ni  0.677  0.323  0.500
O  0.210  0.499  0.020
O  0.218  0.058  0.196
O  0.241  0.038  0.697
O  0.398  0.372  0.610
O  0.501  0.790  0.980
O  0.555  0.217  0.115
O  0.628  0.602  0.390
O  0.680  0.028  0.524
O  0.783  0.445  0.885
O  0.942  0.782  0.804
O  0.962  0.759  0.303
O  0.972  0.320  0.476

Peak list (10 most intense, 2θ = 5–70°, low angle first)
2theta, I_rel
13.51, 26.4
18.34, 44.9
19.49, 48.6
23.58, 24.3
28.05, 100.0
30.07, 62.1
32.62, 45.1
35.20, 25.7
44.71, 24.7
54.60, 19.4

---

# 8
Structure and computed powder XRD pattern of CoO2 (a structure optimized by DFT (GGA+U); Cu Kα (weighted mean of Kα1 and Kα2)).
Lines closer than 0.1° are merged.

Crystal structure
Cell: 5.649 5.649 5.638 Å, 119.60 119.60 59.42°
Fractional positions:
Co  0.000  0.000  0.000
Co  0.000  0.000  0.500
Co  0.000  0.500  0.000
Co  0.500  0.000  0.000
O  0.207  0.762  0.237
O  0.233  0.233  0.761
O  0.234  0.234  0.210
O  0.238  0.793  0.763
O  0.762  0.207  0.237
O  0.766  0.766  0.790
O  0.767  0.767  0.239
O  0.793  0.238  0.763

Peak list (10 most intense, 2θ = 5–70°, low angle first)
2theta, I_rel
19.14, 32.8
19.28, 100.0
37.09, 11.7
37.50, 16.3
37.60, 8.2
39.14, 11.8
44.92, 21.8
45.67, 41.9
65.81, 11.3
66.18, 10.9

---

# 9
Structure and computed powder XRD pattern of Co5O7 (a structure optimized by DFT (GGA+U); Cu Kα (weighted mean of Kα1 and Kα2)).
Lines closer than 0.1° are merged.

Crystal structure
Cell: 5.139 5.139 18.837 Å, 90.00 90.00 146.64°
Fractional positions:
Co  0.000  0.000  0.000
Co  0.000  0.000  0.500
Co  0.265  0.735  0.575
Co  0.265  0.735  0.925
Co  0.481  0.519  0.159
Co  0.481  0.519  0.341
Co  0.519  0.481  0.659
Co  0.519  0.481  0.841
Co  0.735  0.265  0.075
Co  0.735  0.265  0.425
O  0.096  0.904  0.099
O  0.096  0.904  0.401
O  0.153  0.847  0.650
O  0.153  0.847  0.850
O  0.357  0.643  0.021
O  0.357  0.643  0.479
O  0.462  0.538  0.750
O  0.538  0.462  0.250
O  0.643  0.357  0.521
O  0.643  0.357  0.979
O  0.847  0.153  0.150
O  0.847  0.153  0.350
O  0.904  0.096  0.599
O  0.904  0.096  0.901

Peak list (10 most intense, 2θ = 5–70°, low angle first)
2theta, I_rel
9.39, 100.0
20.36, 20.1
33.09, 22.2
33.86, 60.5
34.81, 16.0
36.51, 17.7
42.30, 30.9
43.70, 24.3
45.61, 22.1
58.88, 18.8